1.
Simulated powder X-ray diffraction pattern
Compound: BaNaTiNbO6
Radiation: copper Kα
Structure: a crystal structure in the Materials Project, relaxed with GGA-PBE
Neutral-atom scattering factors, no anomalous dispersion.

Atomic structure:
```
BaNaTiNbO6
1.0
0.0000 4.0189 4.0189
4.0189 0.0000 4.0189
4.0189 4.0189 0.0000
Ba Na Ti Nb O
1 1 1 1 6
Direct
0.0000 0.0000 0.0000
0.5000 0.5000 0.5000
0.7500 0.7500 0.7500
0.2500 0.2500 0.2500
0.5020 0.5020 0.9980
0.5020 0.9980 0.5020
0.5020 0.9980 0.9980
0.9980 0.5020 0.5020
0.9980 0.5020 0.9980
0.9980 0.9980 0.5020
```

The 8 most intense peaks (2θ = 10–90°), in order of falling intensity:
31.48°, d 2.842, intensity 100
19.12°, d 4.641, intensity 44
45.12°, d 2.009, intensity 39
56.05°, d 1.641, intensity 39
37.10°, d 2.424, intensity 25
65.72°, d 1.421, intensity 23
74.69°, d 1.271, intensity 16
49.43°, d 1.844, intensity 11

2.
Simulated powder X-ray diffraction pattern
Compound: Ba3Na2Ti3Nb2O15
Radiation: copper Kα
Structure: a crystal structure in the Materials Project, relaxed with GGA-PBE
Neutral-atom scattering factors, no anomalous dispersion.

Atomic structure:
```
Ba3Na2Ti3Nb2O15
1.0
2.8430 -14.2371 0.0000
2.8430 14.2371 0.0000
0.0000 0.0000 4.0281
Ba Na Ti Nb O
3 2 3 2 15
Direct
0.0000 0.0000 0.0000
0.4009 0.5991 0.0000
0.5991 0.4009 0.0000
0.1987 0.8013 0.0000
0.8013 0.1987 0.0000
0.1010 0.8990 0.5000
0.5000 0.5000 0.5000
0.8990 0.1010 0.5000
0.2994 0.7006 0.5000
0.7006 0.2994 0.5000
0.0000 0.5000 0.5000
0.1002 0.4003 0.5000
0.1007 0.8993 0.0000
0.2003 0.3008 0.5000
0.2994 0.7006 0.0000
0.3008 0.2003 0.5000
0.4003 0.1002 0.5000
0.5000 0.0000 0.5000
0.5000 0.5000 0.0000
0.5997 0.8998 0.5000
0.6992 0.7997 0.5000
0.7006 0.2994 0.0000
0.7997 0.6992 0.5000
0.8993 0.1007 0.0000
0.8998 0.5997 0.5000
```

The 8 most intense peaks (2θ = 10–90°), in order of falling intensity:
31.43°, d 2.846, intensity 100
55.96°, d 1.643, intensity 38
45.05°, d 2.013, intensity 38
65.58°, d 1.423, intensity 18
18.19°, d 4.878, intensity 15
74.54°, d 1.273, intensity 14
22.95°, d 3.876, intensity 10
38.75°, d 2.324, intensity 10